This entry pairs a crystal structure of Mg5Si9 with its calculated powder X-ray diffraction pattern. Radiation: Cu Kα. Structure: a structure optimized by DFT (GGA-PBE).
Peak positions follow from Bragg's law for the DFT cell and can differ from measured ones.

Most intense lines, 10 to 90 degrees two-theta, in order of falling intensity:
| 2theta | I_rel | h k l |
| --- | --- | --- |
| 37.94 | 100 | 2 1 1 |
| 37.55 | 62 | -1 2 3 |
| 39.08 | 36 | 0 3 0 |
| 36.24 | 35 | 1 -2 3 |
| 37.06 | 28 | 2 -3 0 |
| 33.87 | 26 | -2 1 3 |
| 35.46 | 25 | 2 -2 2 |
| 36.80 | 24 | 1 0 -4 |
| 37.82 | 24 | 0 1 -4 |
| 39.32 | 23 | 1 2 -3 |
| 38.36 | 22 | 2 -3 1 |
| 39.89 | 21 | 1 1 3 |

Structural model:
```
data_Mg5Si9
_chemical_formula_sum 'Mg10 Si18'
_cell_length_a 7.4645
_cell_length_b 7.6184
_cell_length_c 9.8693
_cell_angle_alpha 93.69
_cell_angle_beta 100.93
_cell_angle_gamma 113.31
_symmetry_space_group_name_H-M 'P 1'
_symmetry_Int_Tables_number 1
loop_
_symmetry_equiv_pos_as_xyz
'x,y,z'
loop_
_atom_site_label
_atom_site_type_symbol
_atom_site_fract_x
_atom_site_fract_y
_atom_site_fract_z
_atom_site_occupancy
Mg1 Mg 0.0000 0.0000 0.0000 1
Mg2 Mg 0.0186 0.4885 0.3531 1
Mg3 Mg 0.1778 0.7212 0.8945 1
Mg4 Mg 0.2818 0.9461 0.4838 1
Mg5 Mg 0.5042 0.6826 0.4209 1
Mg6 Mg 0.6174 0.3446 0.4957 1
Mg7 Mg 0.7037 0.6428 0.7702 1
Mg8 Mg 0.8276 0.4280 0.0171 1
Mg9 Mg 0.8697 0.0951 0.5001 1
Mg10 Mg 0.8937 0.7953 0.2588 1
Si1 Si 0.0055 0.3072 0.8226 1
Si2 Si 0.0072 0.4742 0.6249 1
Si3 Si 0.1152 0.0042 0.7328 1
Si4 Si 0.1604 0.1911 0.3305 1
Si5 Si 0.2406 0.7240 0.1820 1
Si6 Si 0.2611 0.4011 0.1548 1
Si7 Si 0.2846 0.3664 0.5845 1
Si8 Si 0.3537 0.7107 0.6605 1
Si9 Si 0.3574 0.3888 0.8830 1
Si10 Si 0.4048 0.1495 0.0304 1
Si11 Si 0.4846 0.2122 0.7332 1
Si12 Si 0.5217 0.0475 0.2853 1
Si13 Si 0.5473 0.6769 0.0526 1
Si14 Si 0.5936 0.9745 0.9567 1
Si15 Si 0.6071 0.4070 0.2239 1
Si16 Si 0.6998 0.0181 0.7442 1
Si17 Si 0.8179 0.1250 0.1933 1
Si18 Si 0.9008 0.7454 0.5402 1
```